This entry pairs a crystal structure of BaMg7Tl12 with its simulated X-ray powder pattern. Radiation: Cu Kα (weighted mean of Kα1 and Kα2). Structure: a crystal structure in Alexandria, relaxed with PBE.

Principal peaks in the range 2θ = 10–90°, in order of rising 2θ:
11.5°, intensity 30
20.0°, intensity 42
25.9°, intensity 100
28.4°, intensity 40
30.8°, intensity 69
37.0°, intensity 77
38.8°, intensity 30
48.8°, intensity 36
51.8°, intensity 33
64.1°, intensity 32

Cell and atoms:
Unit cell a=10.875 b=10.875 c=10.875 alpha=90.00 beta=90.00 gamma=90.00
Space group Im-3 (No. 204)
One atom of each set of equivalent atoms:
Ba1 0.000 0.000 0.000 x2
Mg1 0.000 0.000 0.500 x6
Mg2 0.250 0.250 0.250 x8
Tl1 0.000 0.230 0.340 x24